Structure and theoretical X-ray diffraction stick pattern of Li4Ga3Si3ClO12 (the GGA-PBE geometry in the Materials Project; Cu Kα, 1.54184 Å).
Neutral-atom scattering factors, no anomalous dispersion.

Structural model:
a b c (Å): 8.615 8.615 8.615
angles (deg): 90.00 90.00 90.00
Atoms (fractional coordinates):
Li  0.172  0.172  0.172
Li  0.172  0.828  0.828
Li  0.328  0.328  0.672
Li  0.328  0.672  0.328
Li  0.672  0.328  0.328
Li  0.672  0.672  0.672
Li  0.828  0.172  0.828
Li  0.828  0.828  0.172
Ga  0.000  0.250  0.500
Ga  0.000  0.750  0.500
Ga  0.250  0.500  0.000
Ga  0.500  0.000  0.250
Ga  0.500  0.000  0.750
Ga  0.750  0.500  0.000
Si  0.000  0.500  0.250
Si  0.000  0.500  0.750
Si  0.250  0.000  0.500
Si  0.500  0.250  0.000
Si  0.500  0.750  0.000
Si  0.750  0.000  0.500
Cl  0.000  0.000  0.000
Cl  0.500  0.500  0.500
O  0.098  0.373  0.646
O  0.098  0.627  0.354
O  0.127  0.402  0.146
O  0.127  0.598  0.854
O  0.146  0.127  0.402
O  0.146  0.873  0.598
O  0.354  0.098  0.627
O  0.354  0.902  0.373
O  0.373  0.354  0.902
O  0.373  0.646  0.098
O  0.402  0.146  0.127
O  0.402  0.854  0.873
O  0.598  0.146  0.873
O  0.598  0.854  0.127
O  0.627  0.354  0.098
O  0.627  0.646  0.902
O  0.646  0.098  0.373
O  0.646  0.902  0.627
O  0.854  0.127  0.598
O  0.854  0.873  0.402
O  0.873  0.402  0.854
O  0.873  0.598  0.146
O  0.902  0.373  0.354
O  0.902  0.627  0.646

Top 12 peaks for 5° ≤ 2θ ≤ 70°, most intense first:
hkl 2 1 1, d 3.517, intensity 100.0
hkl 1 1 0, d 6.092, intensity 80.6
hkl 2 2 2, d 2.487, intensity 50.8
hkl 3 2 1, d 2.303, intensity 39.2
hkl 4 4 0, d 1.523, intensity 33.5
hkl 2 0 0, d 4.308, intensity 27.6
hkl 2 1 0, d 3.853, intensity 24.6
hkl 5 3 2, d 1.398, intensity 13.3
hkl 4 2 1, d 1.880, intensity 13.0
hkl 4 2 0, d 1.926, intensity 12.6
hkl 3 3 2, d 1.837, intensity 12.5
hkl 3 2 0, d 2.389, intensity 12.0